1.
For MgTa2Pt, a PBE-relaxed structure gives the theoretical PXRD pattern in this record (Cu Kα).

Principal peaks in the range 15 to 90 degrees two-theta, sorted by position:
two_theta  intensity
20.9  10
31.1  7
32.9  9
37.8  100
42.6  17
44.5  32
44.9  7
63.3  21
64.8  11
74.7  12
77.5  25
80.7  11

Atomic structure:
```
MgTa2Pt
1.0
2.8775 0.0000 0.0000
0.0000 2.8775 0.0000
0.0000 0.0000 8.4958
Mg Ta Pt
1 2 1
Cartesian
0.0000 0.0000 0.0000
0.0000 0.0000 3.8381
1.4388 1.4388 6.0817
1.4388 1.4388 1.8928
```

2.
For Mg3TaPt12, a PBE-relaxed structure gives the theoretical PXRD pattern in this record (Cu Kα).

Principal peaks in the range 15 to 90 degrees two-theta, sorted by position:
two_theta  intensity
22.4  12
31.9  10
39.3  100
45.7  33
45.8  16
51.5  6
56.8  4
66.6  32
71.3  3
80.2  26
80.3  13
84.6  11

Atomic structure:
```
Mg3TaPt12
1.0
3.9723 0.0000 0.0000
0.0000 3.9723 0.0000
0.0000 0.0000 15.8559
Mg Ta Pt
3 1 12
Cartesian
0.0000 0.0000 0.0000
0.0000 0.0000 3.9162
0.0000 0.0000 11.9397
0.0000 0.0000 7.9280
0.0000 1.9861 1.9735
0.0000 1.9861 5.9769
0.0000 1.9861 9.8790
0.0000 1.9861 13.8825
1.9861 0.0000 1.9735
1.9861 0.0000 5.9769
1.9861 0.0000 9.8790
1.9861 0.0000 13.8825
1.9861 1.9861 0.0000
1.9861 1.9861 3.9645
1.9861 1.9861 7.9280
1.9861 1.9861 11.8914
```

3.
For Mg3TaPt4, a PBE-relaxed structure gives the theoretical PXRD pattern in this record (Cu Kα).

Principal peaks in the range 15 to 90 degrees two-theta, sorted by position:
two_theta  intensity
24.1  22
30.4  24
39.1  100
43.5  37
49.3  13
50.3  12
59.0  8
63.2  12
67.8  20
76.9  28
84.0  11
85.3  11

Atomic structure:
```
Mg3TaPt4
1.0
2.9440 0.0000 0.0000
0.0000 2.9440 0.0000
0.0000 0.0000 14.7972
Mg Ta Pt
3 1 4
Cartesian
0.0000 0.0000 0.0000
0.0000 0.0000 3.5833
0.0000 0.0000 11.2139
0.0000 0.0000 7.3986
1.4720 1.4720 1.8022
1.4720 1.4720 5.4957
1.4720 1.4720 9.3015
1.4720 1.4720 12.9951
```

4.
For Tb2MgPt, a PBE-relaxed structure gives the theoretical PXRD pattern in this record (Cu Kα).

Principal peaks in the range 15 to 90 degrees two-theta, sorted by position:
two_theta  intensity
17.8  25
29.7  15
34.9  100
36.0  46
47.4  8
48.4  10
51.8  16
61.8  19
64.0  35
73.6  11
81.5  9
86.8  8

Atomic structure:
```
Tb2MgPt
1.0
4.9894 0.0000 0.0000
0.0000 4.9894 0.0000
0.0000 0.0000 3.7605
Tb Mg Pt
2 1 1
Cartesian
0.0000 2.4947 0.0000
2.4947 0.0000 0.0000
0.0000 0.0000 1.8803
2.4947 2.4947 1.8803
```

5.
For MgTcPt6, a PBE-relaxed structure gives the theoretical PXRD pattern in this record (Cu Kα).

Principal peaks in the range 15 to 90 degrees two-theta, sorted by position:
two_theta  intensity
22.4  4
22.5  8
32.0  7
39.5  100
45.7  16
46.0  33
51.8  4
66.8  21
67.1  11
80.2  13
80.7  26
84.9  11

Atomic structure:
```
MgTcPt6
1.0
3.9456 0.0000 0.0000
0.0000 3.9456 0.0000
0.0000 0.0000 7.9470
Mg Tc Pt
1 1 6
Cartesian
0.0000 0.0000 0.0000
0.0000 0.0000 3.9735
0.0000 1.9728 2.0422
0.0000 1.9728 5.9048
1.9728 0.0000 2.0422
1.9728 0.0000 5.9048
1.9728 1.9728 0.0000
1.9728 1.9728 3.9735
```

6.
For Mg2TePt, a PBE-relaxed structure gives the theoretical PXRD pattern in this record (Cu Kα).

Principal peaks in the range 15 to 90 degrees two-theta, sorted by position:
two_theta  intensity
24.4  100
26.1  52
31.5  23
35.7  63
42.0  56
44.5  32
49.2  16
49.3  12
53.4  32
56.2  17
66.6  13
72.6  16

Atomic structure:
```
Mg2TePt
1.0
2.1532 1.2432 5.6730
-2.1532 1.2432 5.6730
0.0000 -2.4863 5.6730
Mg Te Pt
2 1 1
Cartesian
0.0000 0.0000 0.0000
0.0000 0.0000 3.4953
0.0000 0.0000 7.4163
0.0000 0.0000 10.1501
```

7.
For MgTe2Pt, a PBE-relaxed structure gives the theoretical PXRD pattern in this record (Cu Kα).

Principal peaks in the range 15 to 90 degrees two-theta, sorted by position:
two_theta  intensity
25.5  17
30.8  100
40.3  18
44.0  33
44.2  39
46.3  15
54.8  20
56.4  10
64.1  11
72.6  12
72.9  17
81.1  11

Atomic structure:
```
MgTe2Pt
1.0
2.0508 1.1841 6.7358
-2.0508 1.1841 6.7358
0.0000 -2.3681 6.7358
Mg Te Pt
1 2 1
Cartesian
0.0000 0.0000 0.0000
0.0000 0.0000 4.8333
0.0000 0.0000 15.3741
0.0000 0.0000 10.1037
```

8.
For Th3Mg7Pt4, a PBE-relaxed structure gives the theoretical PXRD pattern in this record (Cu Kα).

Principal peaks in the range 15 to 90 degrees two-theta, sorted by position:
two_theta  intensity
16.1  53
19.4  93
27.2  35
29.3  51
32.6  82
33.0  82
34.3  65
34.7  100
35.7  35
39.6  49
44.8  48
49.4  32

Atomic structure:
```
Th3Mg7Pt4
1.0
8.4251 -2.0209 0.0000
8.4251 2.0209 0.0000
-6.2267 0.0000 9.1298
Th Mg Pt
3 7 4
Cartesian
0.0000 0.0000 0.0000
3.2459 0.0000 2.5687
7.3776 0.0000 6.5611
-3.1133 0.0000 4.5649
0.1382 0.0000 3.9327
-0.7577 0.0000 9.1145
3.8348 0.0000 6.4016
6.7887 0.0000 2.7282
11.3812 0.0000 0.0152
10.4853 0.0000 5.1971
-3.0388 0.0000 7.3770
1.1351 0.0000 7.0507
9.4884 0.0000 2.0791
13.6623 0.0000 1.7527
```

9.
For Tm3Mg4Pt4, a PBE-relaxed structure gives the theoretical PXRD pattern in this record (Cu Kα).

Principal peaks in the range 15 to 90 degrees two-theta, sorted by position:
two_theta  intensity
22.1  20
23.7  25
25.1  24
33.1  82
35.6  100
38.1  19
42.6  21
43.2  23
45.1  16
48.3  34
68.2  37
68.4  17

Atomic structure:
```
Tm3Mg4Pt4
1.0
-1.8838 4.0173 7.5071
1.8838 -4.0173 7.5071
1.8838 4.0173 -7.5071
Tm Mg Pt
3 4 4
Cartesian
0.0000 0.0000 0.0000
1.8838 0.0000 5.8663
0.0000 4.0173 1.6408
1.8838 1.5328 -2.5808
1.8838 1.5328 2.5808
0.0000 2.4845 4.9263
0.0000 2.4845 10.0879
0.0000 0.0000 3.6841
1.8838 2.3531 0.0000
0.0000 1.6641 7.5071
0.0000 0.0000 11.3301
```

10.
For TmMg3Pt4, a PBE-relaxed structure gives the theoretical PXRD pattern in this record (Cu Kα).

Principal peaks in the range 15 to 90 degrees two-theta, sorted by position:
two_theta  intensity
26.3  38
29.7  16
30.3  8
37.4  25
37.8  32
40.1  100
48.8  8
54.2  17
69.2  11
69.9  20
74.8  8
86.7  9

Atomic structure:
```
TmMg3Pt4
1.0
9.5124 0.0000 0.0000
0.0000 6.0073 0.0000
0.0000 0.0000 4.8151
Tm Mg Pt
2 6 8
Cartesian
0.0000 0.0000 0.0000
4.7562 0.0000 0.0000
0.0000 3.0036 0.0000
2.3781 0.0000 2.2002
2.3781 3.0036 2.0957
4.7562 3.0036 0.0000
7.1343 0.0000 2.6150
7.1343 3.0036 2.7195
0.0000 1.5585 2.4076
0.0000 4.4488 2.4076
2.3781 1.5712 4.4937
2.3781 4.4361 4.4937
4.7562 1.5585 2.4076
4.7562 4.4488 2.4076
7.1343 1.5712 0.3214
7.1343 4.4361 0.3214
```

11.
For Tm4MgPt5, a PBE-relaxed structure gives the theoretical PXRD pattern in this record (Cu Kα).

Principal peaks in the range 15 to 90 degrees two-theta, sorted by position:
two_theta  intensity
26.0  3
33.8  9
37.1  56
37.6  100
53.5  20
54.9  7
63.1  5
67.2  37
68.1  14
79.0  6
80.2  9
86.3  4

Atomic structure:
```
Tm4MgPt5
1.0
3.4276 0.0000 0.0000
0.0000 3.4276 0.0000
0.0000 0.0000 16.7155
Tm Mg Pt
4 1 5
Cartesian
0.0000 0.0000 1.7375
0.0000 0.0000 5.2206
0.0000 0.0000 11.4949
0.0000 0.0000 14.9780
0.0000 0.0000 8.3578
1.7138 1.7138 0.0000
1.7138 1.7138 3.4867
1.7138 1.7138 6.8722
1.7138 1.7138 9.8434
1.7138 1.7138 13.2288
```

12.
For MgU4Pt15, a PBE-relaxed structure gives the theoretical PXRD pattern in this record (Cu Kα).

Principal peaks in the range 15 to 90 degrees two-theta, sorted by position:
two_theta  intensity
35.3  2
37.8  100
39.6  1
43.8  34
44.2  15
60.5  2
63.7  11
64.0  21
72.1  2
76.5  27
77.0  11
80.7  11

Atomic structure:
```
MgU4Pt15
1.0
4.1341 0.0000 0.0000
0.0000 4.1341 0.0000
0.0000 0.0000 20.5050
Mg U Pt
1 4 15
Cartesian
0.0000 0.0000 0.0000
0.0000 0.0000 3.9196
0.0000 0.0000 8.1531
0.0000 0.0000 12.3519
0.0000 0.0000 16.5853
0.0000 2.0671 1.9568
0.0000 2.0671 6.0516
0.0000 2.0671 10.2525
0.0000 2.0671 14.4534
0.0000 2.0671 18.5482
2.0671 0.0000 1.9568
2.0671 0.0000 6.0516
2.0671 0.0000 10.2525
2.0671 0.0000 14.4534
2.0671 0.0000 18.5482
2.0671 2.0671 0.0000
2.0671 2.0671 3.9996
2.0671 2.0671 8.1573
2.0671 2.0671 12.3477
2.0671 2.0671 16.5053
```

13.
For MgUZn2Pt2, a PBE-relaxed structure gives the theoretical PXRD pattern in this record (Cu Kα).

Principal peaks in the range 15 to 90 degrees two-theta, sorted by position:
two_theta  intensity
27.1  84
36.4  100
40.9  87
48.5  17
49.8  17
55.9  29
60.0  11
66.3  15
71.6  28
72.5  23
74.5  15
88.7  10

Atomic structure:
```
MgUZn2Pt2
1.0
4.4114 0.0000 0.0000
-2.2057 3.8204 0.0000
0.0000 0.0000 6.4706
Mg U Zn Pt
1 1 2 2
Cartesian
0.0000 0.0000 0.0000
0.0000 0.0000 3.2353
0.0000 2.5469 1.2318
2.2057 1.2735 5.2388
0.0000 2.5469 4.8655
2.2057 1.2735 1.6051
```

14.
For MgPtW2, a PBE-relaxed structure gives the theoretical PXRD pattern in this record (Cu Kα).

Principal peaks in the range 15 to 90 degrees two-theta, sorted by position:
two_theta  intensity
19.9  9
25.6  25
38.5  9
39.3  100
40.5  23
48.1  28
55.3  6
64.6  23
70.4  9
72.8  17
83.7  23
84.5  11

Atomic structure:
```
MgPtW2
1.0
-1.8919 1.8919 4.4556
1.8919 -1.8919 4.4556
1.8919 1.8919 -4.4556
Mg Pt W
1 1 2
Cartesian
0.0000 0.0000 0.0000
0.0000 0.0000 4.4556
1.8919 0.0000 2.2278
0.0000 1.8919 2.2278
```